Computed powder diffraction line list of Pm3Tm8Sc for Cu Ka, from a structure optimized by DFT (GGA-PBE).

Structural model:
Cell: 6.403 11.015 11.266 Å, 90.00 90.00 90.00°
Space group Immm (No. 71)
Inequivalent atoms, fractional coordinates:
Pm  0.000  0.000  0.000 (multiplicity 2)
Pm  0.000  0.500  0.242 (multiplicity 4)
Tm  0.000  0.165  0.252 (multiplicity 8)
Tm  0.245  0.265  0.000 (multiplicity 8)
Sc  0.000  0.000  0.500 (multiplicity 2)

The 10 most intense peaks (10° ≤ 2θ ≤ 80°), by angle:
hkl  2θ (°)  d [Å]  intensity
0 2 0  16.09  5.508  19
1 3 0  28.01  3.185  25
0 0 4  31.77  2.817  51
2 0 2  32.16  2.784  62
1 3 2  32.30  2.772  100
2 2 2  36.16  2.484  34
0 4 2  36.32  2.474  18
3 3 2  52.16  1.754  20
2 0 6  56.89  1.619  28
2 6 4  67.57  1.386  21